# 1
Calculated X-ray diffraction stick pattern
Compound: Pr2Dy7
Radiation: Cu Kα, 1.54184 Å
Structure: a DFT-relaxed cell (GGA-PBE, Alexandria)
Lines closer than 0.1° are merged.

Principal peaks in the range 15° ≤ 2θ ≤ 90°, in order of rising 2θ:
2θ/deg	intensity	index
30.6	100	1 1 1
35.5	51	2 -1 2
51.0	36	3 0 0
60.7	43	4 -2 1
63.7	9	2 2 2
63.8	3	0 0 6
75.1	6	4 -2 4
83.2	13	4 1 1
83.3	4	1 1 7
85.9	17	5 -1 2

Structure:
Lattice parameters (Å, degrees): 6.2031 6.2031 8.7572 90.00 90.00 120.00
Space group P-31m (No. 162)
Symmetry-distinct sites (fractional):
Pr 0.3333 0.6667 0.0000 [2 per cell]
Dy 0.0000 0.0000 0.0000 [1 per cell]
Dy 0.0000 0.3321 0.6635 [6 per cell]

---

# 2
Calculated X-ray diffraction stick pattern
Compound: Ac4Bi2N
Radiation: Cu Kα, 1.54184 Å
Structure: a DFT-relaxed cell (GGA-PBE, Alexandria)
Lines closer than 0.1° are merged.

Principal peaks in the range 15° ≤ 2θ ≤ 90°, in order of rising 2θ:
2θ/deg	intensity	index
26.1	50	1 0 2
26.4	68	2 0 -2
27.1	64	1 2 0
29.0	20	0 0 3
29.1	19	2 1 -2
31.0	100	1 2 -2
35.0	29	2 2 0
36.9	25	1 0 -4
49.2	20	0 4 0
56.7	23	2 4 -2

Structure:
Lattice parameters (Å, degrees): 7.4758 7.4133 9.7402 90.00 108.33 90.00
Space group P2_1/m (No. 11)
Symmetry-distinct sites (fractional):
Ac 0.0041 0.0018 0.2790 [4 per cell]
Ac 0.3596 0.2500 0.0551 [2 per cell]
Ac 0.4184 0.2500 0.6462 [2 per cell]
Bi 0.2125 0.7500 0.0405 [2 per cell]
Bi 0.3011 0.7500 0.5818 [2 per cell]
N 0.2059 0.2500 0.7966 [2 per cell]

---

# 3
Calculated X-ray diffraction stick pattern
Compound: Pr2MnHPt6
Radiation: Cu Kα, 1.54184 Å
Structure: a DFT-relaxed cell (GGA-PBE, Alexandria)
Lines closer than 0.1° are merged.

Principal peaks in the range 15° ≤ 2θ ≤ 90°, in order of rising 2θ:
2θ/deg	intensity	index
28.9	28	0 0 6
30.1	20	0 1 5
34.5	20	1 1 3
37.5	100	2 0 2
38.5	21	1 0 7
41.2	69	0 2 4
43.9	19	0 0 9
54.8	19	1 1 9
60.4	13	2 1 7
65.0	26	2 2 0

Structure:
Lattice parameters (Å, degrees): 5.7354 5.7354 18.5586 90.00 90.00 120.00
Space group R-3m (No. 166, hexagonal axes)
Symmetry-distinct sites (fractional):
Pr 0.0000 0.0000 0.2170 [6 per cell]
Mn 0.0000 0.0000 0.5000 [3 per cell]
H 0.0000 0.0000 0.0000 [3 per cell]
Pt 0.0045 0.5022 0.2708 [18 per cell]

---

# 4
Calculated X-ray diffraction stick pattern
Compound: ZnCu3H6Cl2O6
Radiation: Cu Kα, 1.54184 Å
Structure: a DFT-relaxed cell (GGA-PBE, Alexandria)
Lines closer than 0.1° are merged.

Principal peaks in the range 15° ≤ 2θ ≤ 90°, in order of rising 2θ:
2θ/deg	intensity	index
15.4	100	0 0 1
31.1	14	0 0 2
32.5	22	2 0 0
36.2	86	0 2 1
45.6	41	0 2 2
58.1	20	2 2 0
58.7	19	0 2 3
60.5	14	2 2 1
70.4	10	4 0 1
74.4	12	2 0 4

Structure:
Lattice parameters (Å, degrees): 6.3550 6.3550 5.7532 90.00 90.00 120.00
Space group P-3m1 (No. 164)
Symmetry-distinct sites (fractional):
Zn 0.0000 0.0000 0.0000 [1 per cell]
Cu 0.0000 0.5000 0.0000 [3 per cell]
H 0.2005 0.4010 0.3206 [6 per cell]
Cl 0.3333 0.6667 0.6177 [2 per cell]
O 0.1776 0.3551 0.1543 [6 per cell]

---

# 5
Calculated X-ray diffraction stick pattern
Compound: Pr2Pu2N5
Radiation: Cu Kα, 1.54184 Å
Structure: a DFT-relaxed cell (GGA-PBE, Alexandria)
Lines closer than 0.1° are merged.

Principal peaks in the range 15° ≤ 2θ ≤ 90°, in order of rising 2θ:
2θ/deg	intensity	index
21.1	14	4 0 0
29.3	27	0 2 0
30.0	100	4 1 1
30.7	27	0 0 2
42.8	12	8 0 0
43.0	22	0 2 2
52.4	19	4 3 1
53.6	10	8 0 2
54.1	19	4 1 3
62.2	12	8 2 2

Structure:
Lattice parameters (Å, degrees): 16.9105 6.0980 5.8207 90.00 90.00 90.00
Space group Ima2 (No. 46)
Symmetry-distinct sites (fractional):
Pr 0.1132 0.0175 0.0000 [8 per cell]
Pu 0.0000 0.0000 0.5085 [4 per cell]
Pu 0.2500 0.5436 0.0316 [4 per cell]
N 0.0203 0.7457 0.2619 [8 per cell]
N 0.1292 0.0861 0.5201 [8 per cell]
N 0.2500 0.6050 0.4068 [4 per cell]

---

# 6
Calculated X-ray diffraction stick pattern
Compound: NaW6CCl18
Radiation: Cu Kα, 1.54184 Å
Structure: a DFT-relaxed cell (GGA-PBE, Alexandria)
Lines closer than 0.1° are merged.

Principal peaks in the range 15° ≤ 2θ ≤ 90°, in order of rising 2θ:
2θ/deg	intensity	index
19.5	41	1 1 1
27.1	63	1 0 5
29.0	34	2 1 0
32.7	41	2 1 3
36.7	34	1 0 7
38.6	45	2 2 1
40.3	46	3 1 1
42.1	100	2 1 6
46.2	39	2 2 5
47.6	43	3 1 5

Structure:
Lattice parameters (Å, degrees): 9.3997 9.3997 17.9673 90.00 90.00 120.00
Space group P6_3/m (No. 176)
Symmetry-distinct sites (fractional):
Na 0.0000 0.0000 0.0000 [2 per cell]
W 0.1876 0.7007 0.1661 [12 per cell]
C 0.3333 0.6667 0.2500 [2 per cell]
Cl 0.0169 0.2539 0.6021 [12 per cell]
Cl 0.0434 0.4693 0.7500 [6 per cell]
Cl 0.0829 0.2927 0.2500 [6 per cell]
Cl 0.1119 0.4865 0.0752 [12 per cell]

---

# 7
Calculated X-ray diffraction stick pattern
Compound: Hf4ScTi
Radiation: Cu Kα, 1.54184 Å
Structure: a DFT-relaxed cell (GGA-PBE, Alexandria)
Lines closer than 0.1° are merged.

Principal peaks in the range 15° ≤ 2θ ≤ 90°, in order of rising 2θ:
2θ/deg	intensity	index
19.6	26	1 1 0
22.1	20	2 0 0
32.6	36	0 2 0
36.2	36	0 0 2
37.3	100	3 1 -2
37.4	49	0 2 1
58.2	20	3 3 -1
65.9	19	3 1 2
70.4	15	3 3 -3
71.1	15	6 2 -3

Structure:
Lattice parameters (Å, degrees): 9.5432 5.4890 5.9059 90.00 122.71 90.00
Space group C2 (No. 5)
Symmetry-distinct sites (fractional):
Hf 0.1618 0.0000 0.4976 [4 per cell]
Hf 0.1720 0.8359 0.0071 [4 per cell]
Sc 0.0000 0.3444 0.0000 [2 per cell]
Ti 0.0000 0.5149 0.5000 [2 per cell]

---

# 8
Calculated X-ray diffraction stick pattern
Compound: Ba2Cd3Pb5
Radiation: Cu Kα, 1.54184 Å
Structure: a DFT-relaxed cell (GGA-PBE, Alexandria)
Lines closer than 0.1° are merged.

Principal peaks in the range 15° ≤ 2θ ≤ 90°, in order of rising 2θ:
2θ/deg	intensity	index
27.9	100	1 1 2
33.5	56	2 0 0
38.4	35	1 1 4
41.4	12	1 0 5
44.1	15	2 1 3
48.0	20	2 2 0
54.2	12	2 1 5
56.5	25	3 1 2
63.1	16	3 1 4
80.1	9	4 2 0

Structure:
Lattice parameters (Å, degrees): 5.3573 5.3573 11.9393 90.00 90.00 90.00
Space group P-4m2 (No. 115)
Symmetry-distinct sites (fractional):
Ba 0.0000 0.5000 0.2392 [2 per cell]
Cd 0.0000 0.0000 0.0000 [1 per cell]
Cd 0.0000 0.5000 0.8902 [2 per cell]
Pb 0.0000 0.0000 0.5000 [1 per cell]
Pb 0.0000 0.5000 0.6460 [2 per cell]
Pb 0.5000 0.5000 0.0000 [1 per cell]
Pb 0.5000 0.5000 0.5000 [1 per cell]

---

# 9
Calculated X-ray diffraction stick pattern
Compound: Yb6Ni20P13
Radiation: Cu Kα, 1.54184 Å
Structure: a DFT-relaxed cell (GGA-PBE, Alexandria)
Lines closer than 0.1° are merged.

Principal peaks in the range 15° ≤ 2θ ≤ 90°, in order of rising 2θ:
2θ/deg	intensity	index
21.4	11	1 2 0
25.2	11	1 0 1
29.3	12	1 3 0
37.2	20	2 2 1
37.5	13	4 1 0
38.1	100	1 3 1
48.7	21	0 0 2
52.0	20	5 2 0
57.9	17	2 5 1
74.0	13	5 2 2

Structure:
Lattice parameters (Å, degrees): 12.6850 12.6850 3.7379 90.00 90.00 120.00
Space group P-6 (No. 174)
Symmetry-distinct sites (fractional):
Yb 0.0518 0.8548 0.0000 [3 per cell]
Yb 0.5217 0.1371 0.5000 [3 per cell]
Ni 0.0000 0.0000 0.5000 [1 per cell]
Ni 0.0165 0.5980 0.0000 [3 per cell]
Ni 0.0907 0.3476 0.5000 [3 per cell]
Ni 0.1373 0.5624 0.5000 [3 per cell]
Ni 0.2555 0.7391 0.0000 [3 per cell]
Ni 0.3111 0.0810 0.0000 [3 per cell]
Ni 0.3557 0.2494 0.5000 [3 per cell]
Ni 0.6667 0.3333 0.0000 [1 per cell]
P 0.0547 0.4347 0.0000 [3 per cell]
P 0.0992 0.7152 0.5000 [3 per cell]
P 0.1959 0.0510 0.5000 [3 per cell]
P 0.3333 0.6667 0.5000 [1 per cell]
P 0.4701 0.2806 0.0000 [3 per cell]

---

# 10
Calculated X-ray diffraction stick pattern
Compound: MnNbNi
Radiation: Cu Kα, 1.54184 Å
Structure: a DFT-relaxed cell (GGA-PBE, Alexandria)
Lines closer than 0.1° are merged.

Principal peaks in the range 15° ≤ 2θ ≤ 90°, in order of rising 2θ:
2θ/deg	intensity	index
21.2	4	0 0 2
30.1	8	1 0 1
40.2	61	1 1 0
43.1	100	1 0 3
45.9	2	1 1 2
58.2	19	2 0 0
66.9	8	0 0 6
75.1	36	2 1 3
81.0	14	1 1 6
86.9	7	2 2 0

Structure:
Lattice parameters (Å, degrees): 3.1719 3.1719 8.3918 90.00 90.00 90.00
Space group I4mm (No. 107)
Symmetry-distinct sites (fractional):
Mn 0.0000 0.0000 0.0000 [2 per cell]
Nb 0.0000 0.0000 0.6697 [2 per cell]
Ni 0.0000 0.0000 0.3386 [2 per cell]

---

# 11
Calculated X-ray diffraction stick pattern
Compound: Ba3Re4
Radiation: Cu Kα, 1.54184 Å
Structure: a DFT-relaxed cell (GGA-PBE, Alexandria)
Lines closer than 0.1° are merged.

Principal peaks in the range 15° ≤ 2θ ≤ 90°, in order of rising 2θ:
2θ/deg	intensity	index
26.5	48	0 0 10
33.0	100	1 0 7
36.4	65	1 0 9
38.7	88	1 1 0
40.2	33	1 1 4
47.5	39	1 1 10
55.9	30	2 0 0
59.2	42	1 0 19
66.5	27	2 1 7
85.9	40	1 1 26

Structure:
Lattice parameters (Å, degrees): 3.2892 3.2892 33.6791 90.00 90.00 90.00
Space group I4/mmm (No. 139)
Symmetry-distinct sites (fractional):
Ba 0.0000 0.0000 0.0000 [2 per cell]
Ba 0.0000 0.0000 0.3106 [4 per cell]
Re 0.0000 0.0000 0.1131 [4 per cell]
Re 0.0000 0.0000 0.4194 [4 per cell]

---

# 12
Calculated X-ray diffraction stick pattern
Compound: PmSbAu6
Radiation: Cu Kα, 1.54184 Å
Structure: a DFT-relaxed cell (GGA-PBE, Alexandria)
Lines closer than 0.1° are merged.

Principal peaks in the range 15° ≤ 2θ ≤ 90°, in order of rising 2θ:
2θ/deg	intensity	index
32.4	24	2 0 0
36.3	100	2 1 0
39.9	54	2 1 1
57.7	12	2 2 2
60.3	23	3 0 2
62.8	29	3 2 1
67.7	14	4 0 0
77.1	8	4 2 0
79.4	22	4 2 1
81.6	7	3 3 2

Structure:
Lattice parameters (Å, degrees): 5.5327 5.5327 5.5327 90.00 90.00 90.00
Space group Pm-3 (No. 200)
Symmetry-distinct sites (fractional):
Pm 0.0000 0.0000 0.0000 [1 per cell]
Sb 0.5000 0.5000 0.5000 [1 per cell]
Au 0.0000 0.2500 0.5000 [6 per cell]